Simulated powder XRD pattern
Compound: MnFeCuMoAu
Radiation: copper Kα
Structure: a structure optimized by DFT (GGA-PBE)

Peak list (12 most intense, 2θ from 10° to 90°, by angle)
2θ = 12.1°, I 19, hkl 0 0 2; 2θ = 24.4°, I 11, hkl 0 0 4; 2θ = 29.3°, I 25, hkl 1 0 1; 2θ = 34.2°, I 16, hkl 1 0 3; 2θ = 41.0°, I 57, hkl 1 1 0; 2θ = 42.5°, I 100, hkl 1 0 5; 2θ = 48.3°, I 8, hkl 1 1 4; 2θ = 59.4°, I 18, hkl 2 0 0; 2θ = 63.9°, I 7, hkl 0 0 10; 2θ = 75.7°, I 35, hkl 2 1 5; 2θ = 78.8°, I 15, hkl 1 1 10; 2θ = 89.0°, I 6, hkl 2 2 0

Structure:
Lattice parameters (Å, degrees): 3.1119 3.1119 14.5705 90.00 90.00 90.00
Space group I4mm (No. 107)
Unique sites:
Mn: 0.0000 0.0000 0.0000 [2 per cell]
Fe: 0.0000 0.0000 0.5956 [2 per cell]
Cu: 0.0000 0.0000 0.7875 [2 per cell]
Mo: 0.0000 0.0000 0.1852 [2 per cell]
Au: 0.0000 0.0000 0.3918 [2 per cell]

=====

Simulated powder XRD pattern
Compound: Pa4Fe7Ge6
Radiation: copper Kα
Structure: a structure optimized by DFT (GGA-PBE)

Peak list (12 most intense, 2θ from 10° to 90°, by angle)
2θ = 21.8°, I 36, hkl 2 0 0; 2θ = 31.1°, I 79, hkl 2 2 0; 2θ = 38.3°, I 100, hkl 2 2 2; 2θ = 44.5°, I 56, hkl 4 0 0; 2θ = 47.3°, I 10, hkl 3 3 0; 2θ = 50.1°, I 34, hkl 4 2 0; 2θ = 52.7°, I 8, hkl 3 3 2; 2θ = 55.2°, I 20, hkl 4 2 2; 2θ = 64.7°, I 28, hkl 4 4 0; 2θ = 69.2°, I 22, hkl 4 4 2; 2θ = 73.5°, I 23, hkl 6 2 0; 2θ = 77.8°, I 27, hkl 6 2 2

Structure:
Lattice parameters (Å, degrees): 8.1460 8.1460 8.1460 90.00 90.00 90.00
Space group Im-3m (No. 229)
Unique sites:
Pa: 0.2500 0.2500 0.2500 [8 per cell]
Fe: 0.0000 0.0000 0.0000 [2 per cell]
Fe: 0.0000 0.2500 0.5000 [12 per cell]
Ge: 0.0000 0.0000 0.3232 [12 per cell]

=====

Simulated powder XRD pattern
Compound: Pr3Tl4InS8
Radiation: copper Kα
Structure: a structure optimized by DFT (GGA-PBE)

Peak list (12 most intense, 2θ from 10° to 90°, by angle)
2θ = 23.7°, I 28, hkl 0 0 6; 2θ = 26.0°, I 62, hkl 2 0 2; 2θ = 29.5°, I 100, hkl 0 2 4; 2θ = 40.7°, I 39, hkl 2 0 8; 2θ = 43.7°, I 35, hkl 2 2 0; 2θ = 47.6°, I 15, hkl 0 2 10; 2θ = 50.3°, I 24, hkl 2 2 6; 2θ = 53.6°, I 18, hkl 4 0 4; 2θ = 61.2°, I 11, hkl 0 4 8; 2θ = 67.3°, I 16, hkl 2 2 12; 2θ = 71.5°, I 15, hkl 2 4 4; 2θ = 78.2°, I 11, hkl 4 2 8

Structure:
Lattice parameters (Å, degrees): 8.2944 8.2944 22.5299 90.00 90.00 120.00
Space group R-3m (No. 166, hexagonal axes)
Unique sites:
Pr: 0.0000 0.5000 0.0000 [9 per cell]
Tl: 0.0000 0.0000 0.5000 [3 per cell]
Tl: 0.0000 0.5000 0.5000 [9 per cell]
In: 0.0000 0.0000 0.0000 [3 per cell]
S: 0.0000 0.0000 0.2643 [6 per cell]
S: 0.0145 0.5073 0.7341 [18 per cell]

=====

Simulated powder XRD pattern
Compound: La2Bi2I
Radiation: copper Kα
Structure: a structure optimized by DFT (GGA-PBE)

Peak list (12 most intense, 2θ from 10° to 90°, by angle)
2θ = 14.2°, I 11, hkl 1 1 0; 2θ = 24.4°, I 23, hkl 1 1 1; 2θ = 30.1°, I 100, hkl 2 1 1; 2θ = 32.0°, I 38, hkl 3 1 0; 2θ = 36.7°, I 10, hkl 3 2 0; 2θ = 40.1°, I 15, hkl 0 0 2; 2θ = 42.0°, I 12, hkl 3 2 1; 2θ = 45.8°, I 12, hkl 4 0 1; 2θ = 52.3°, I 19, hkl 3 1 2; 2θ = 60.0°, I 15, hkl 5 2 1; 2θ = 65.0°, I 11, hkl 5 3 1; 2θ = 66.8°, I 13, hkl 2 1 3

Structure:
Lattice parameters (Å, degrees): 8.8343 8.8343 4.4920 90.00 90.00 90.00
Space group P4/mbm (No. 127)
Unique sites:
La: 0.1700 0.3300 0.0000 [4 per cell]
Bi: 0.1275 0.6275 0.5000 [4 per cell]
I: 0.0000 0.0000 0.0000 [2 per cell]

=====

Simulated powder XRD pattern
Compound: LaNi2N4
Radiation: copper Kα
Structure: a structure optimized by DFT (GGA-PBE)

Peak list (12 most intense, 2θ from 10° to 90°, by angle)
2θ = 18.8°, I 24, hkl 0 0 1; 2θ = 31.4°, I 100, hkl 1 -1 0; 2θ = 35.5°, I 98, hkl 0 1 -2; 2θ = 36.4°, I 62, hkl 1 0 1; 2θ = 36.5°, I 19, hkl 1 -1 1; 2θ = 37.2°, I 30, hkl -1 1 1; 2θ = 37.5°, I 43, hkl 1 0 -2; 2θ = 42.5°, I 48, hkl 0 2 -1; 2θ = 47.3°, I 34, hkl 2 0 -1; 2θ = 53.4°, I 12, hkl 1 0 2; 2θ = 59.7°, I 18, hkl 2 -1 1; 2θ = 65.5°, I 23, hkl 2 -2 0

Structure:
Lattice parameters (Å, degrees): 3.8449 4.2531 5.4639 112.74 108.93 90.03
Space group P-1 (No. 2)
Unique sites:
La: 0.0000 0.0000 0.0000 [1 per cell]
Ni: 0.3819 0.3665 0.7296 [2 per cell]
N: 0.1569 0.6774 0.3536 [2 per cell]
N: 0.3422 0.8096 0.6215 [2 per cell]

=====

Simulated powder XRD pattern
Compound: AlTl2SnS4
Radiation: copper Kα
Structure: a structure optimized by DFT (GGA-PBE)

Peak list (12 most intense, 2θ from 10° to 90°, by angle)
2θ = 17.0°, I 44, hkl 0 1 1; 2θ = 23.5°, I 100, hkl 0 2 1; 2θ = 24.4°, I 71, hkl 2 1 0; 2θ = 28.3°, I 59, hkl 2 1 1; 2θ = 28.6°, I 63, hkl 0 0 2; 2θ = 32.7°, I 32, hkl 2 2 1; 2θ = 36.3°, I 44, hkl 2 3 0; 2θ = 37.9°, I 38, hkl 2 1 2; 2θ = 39.1°, I 24, hkl 3 2 0; 2θ = 46.8°, I 46, hkl 2 3 2; 2θ = 52.2°, I 19, hkl 4 2 1; 2θ = 55.5°, I 23, hkl 2 5 1

Structure:
Lattice parameters (Å, degrees): 7.8951 9.5431 6.2478 90.00 90.00 90.00
Space group Pmn2_1 (No. 31)
Unique sites:
Al: 0.0000 0.1437 0.0000 [2 per cell]
Tl: 0.2275 0.6515 0.0640 [4 per cell]
Sn: 0.0000 0.8890 0.5200 [2 per cell]
S: 0.0000 0.1471 0.6331 [2 per cell]
S: 0.0000 0.9162 0.1085 [2 per cell]
S: 0.2334 0.2696 0.0891 [4 per cell]

=====

Simulated powder XRD pattern
Compound: Li8Mg3In
Radiation: copper Kα
Structure: a structure optimized by DFT (GGA-PBE)

Peak list (12 most intense, 2θ from 10° to 90°, by angle)
2θ = 14.6°, I 79, hkl 1 0 1; 2θ = 16.4°, I 37, hkl 1 1 0; 2θ = 23.3°, I 48, hkl 2 0 0; 2θ = 24.3°, I 100, hkl 1 1 2; 2θ = 27.6°, I 35, hkl 2 1 1; 2θ = 29.3°, I 14, hkl 1 0 3; 2θ = 33.2°, I 30, hkl 2 2 0; 2θ = 37.8°, I 15, hkl 2 1 3; 2θ = 41.5°, I 58, hkl 3 1 2; 2θ = 43.4°, I 18, hkl 2 0 4; 2θ = 49.8°, I 18, hkl 2 2 4; 2θ = 65.0°, I 14, hkl 5 1 2

Structure:
Lattice parameters (Å, degrees): 7.6411 7.6411 9.9611 90.00 90.00 90.00
Space group I-42m (No. 121)
Unique sites:
Li: 0.1310 0.1310 0.2386 [8 per cell]
Li: 0.2446 0.2446 0.9836 [8 per cell]
Mg: 0.0000 0.0000 0.5000 [2 per cell]
Mg: 0.0000 0.5000 0.2500 [4 per cell]
In: 0.0000 0.0000 0.0000 [2 per cell]

=====

Simulated powder XRD pattern
Compound: Pm4Nd3Er
Radiation: copper Kα
Structure: a structure optimized by DFT (GGA-PBE)

Peak list (12 most intense, 2θ from 10° to 90°, by angle)
2θ = 29.2°, I 45, hkl 1 2 0; 2θ = 30.3°, I 35, hkl 4 0 0; 2θ = 32.1°, I 100, hkl 2 1 2; 2θ = 36.4°, I 25, hkl 3 2 0; 2θ = 48.1°, I 11, hkl 5 2 0; 2θ = 49.9°, I 26, hkl 0 3 2; 2θ = 55.0°, I 22, hkl 6 1 2; 2θ = 59.5°, I 31, hkl 4 3 2; 2θ = 60.5°, I 16, hkl 2 4 0; 2θ = 77.4°, I 8, hkl 6 4 0; 2θ = 82.1°, I 9, hkl 2 4 4; 2θ = 84.4°, I 12, hkl 8 3 2

Structure:
Lattice parameters (Å, degrees): 11.7942 6.3316 7.3201 90.00 90.00 90.00
Space group Pmn2_1 (No. 31)
Unique sites:
Pm: 0.0000 0.1670 0.9998 [2 per cell]
Pm: 0.0000 0.6667 0.2508 [2 per cell]
Pm: 0.2487 0.4990 0.5000 [4 per cell]
Nd: 0.0000 0.6666 0.7492 [2 per cell]
Nd: 0.2498 0.9999 0.2494 [4 per cell]
Er: 0.0000 0.1661 0.4992 [2 per cell]

=====

Which formula does entry 3 have? Pr3Tl4InS8